Record 1
Theoretical powder diffraction line list of Ho3UIn3Te8 for Cu Ka, from DFT lattice parameters and positions (PBE).
Intensities are scaled so that the largest is 100.

Main lines, by angle (15 to 90 degrees two-theta):
(4 0 0), d 3.218, intensity 100
(2 2 2), d 2.380, intensity 39
(0 4 0), d 2.184, intensity 35
(4 4 0), d 1.807, intensity 19
(8 0 0), d 1.609, intensity 12
(6 2 2), d 1.491, intensity 15
(10 2 -2), d 1.392, intensity 16
(8 4 0), d 1.295, intensity 11

Structure:
Cell: 15.1322 8.7362 9.5957 Å, 90.00 121.71 90.00°
Space group C2/m (No. 12)
Asymmetric unit:
Ho 0.0000 0.0000 0.0000 x2
Ho 0.2500 0.2500 0.0000 x4
U 0.0000 0.5000 0.0000 x2
In 0.0000 0.5000 0.5000 x2
In 0.2500 0.2500 0.5000 x4
Te 0.0107 0.2502 0.7832 x8
Te 0.2389 0.5000 0.2176 x4
Te 0.2398 0.0000 0.2180 x4

---

Record 2
Theoretical powder diffraction line list of LiGePCO7 for Cu Ka, from DFT lattice parameters and positions (PBE).
Intensities are scaled so that the largest is 100.

Main lines, by angle (15 to 90 degrees two-theta):
(0 1 1), d 5.156, intensity 100
(1 0 -1), d 4.597, intensity 47
(1 0 1), d 4.388, intensity 65
(1 1 0), d 3.949, intensity 29
(1 0 -2), d 3.543, intensity 46
(0 2 0), d 3.098, intensity 65
(2 0 0), d 2.565, intensity 24
(1 1 3), d 2.390, intensity 24

Structure:
Cell: 5.1330 6.1958 9.3154 Å, 90.00 93.16 90.00°
Space group P2_1 (No. 4)
Asymmetric unit:
Li 0.2441 0.0000 0.3517 x2
Ge 0.2150 0.6912 0.8506 x2
P 0.2699 0.1892 0.9369 x2
C 0.2768 0.7156 0.5970 x2
O 0.0467 0.6977 0.6558 x2
O 0.1161 0.1861 0.0749 x2
O 0.2018 0.3850 0.8397 x2
O 0.2078 0.9939 0.8397 x2
O 0.3112 0.7554 0.4696 x2
O 0.4331 0.6924 0.0168 x2
O 0.4682 0.6886 0.6994 x2

---

Record 3
Theoretical powder diffraction line list of NaNiB for Cu Ka, from DFT lattice parameters and positions (PBE).
Intensities are scaled so that the largest is 100.

Main lines, by angle (15 to 90 degrees two-theta):
(0 0 1), d 5.068, intensity 100
(0 1 0), d 3.324, intensity 43
(0 1 1), d 2.779, intensity 55
(0 0 2), d 2.534, intensity 62
(2 0 0), d 2.144, intensity 26
(2 0 -2), d 2.138, intensity 26
(2 1 -1), d 1.926, intensity 29
(2 1 0), d 1.802, intensity 23

Structure:
Cell: 4.7246 3.3238 5.5835 Å, 90.00 114.81 90.00°
Space group Pm (No. 6)
Asymmetric unit:
Na 0.0000 0.0000 0.0000 x1
Na 0.4994 0.5000 0.9997 x1
Ni 0.4740 0.5000 0.4949 x1
Ni 0.9788 0.5000 0.5047 x1
B 0.2356 0.0000 0.5194 x1
B 0.7158 0.0000 0.4803 x1

---

Record 4
Theoretical powder diffraction line list of Pr6Fe13Au for Cu Ka, from DFT lattice parameters and positions (PBE).
Intensities are scaled so that the largest is 100.

Main lines, by angle (15 to 90 degrees two-theta):
(2 1 3), d 3.263, intensity 63
(2 2 0), d 2.845, intensity 100
(2 0 6), d 2.791, intensity 38
(1 1 8), d 2.589, intensity 42
(3 1 0), d 2.544, intensity 92
(2 0 8), d 2.357, intensity 69
(2 1 9), d 2.099, intensity 36
(4 2 0), d 1.799, intensity 41

Structure:
Cell: 8.0442 8.0442 23.2637 Å, 90.00 90.00 90.00°
Space group I4/mcm (No. 140)
Asymmetric unit:
Pr 0.0000 0.0000 0.1069 x8
Pr 0.1638 0.3362 0.1865 x16
Fe 0.0000 0.5000 0.0000 x4
Fe 0.0664 0.2096 0.5000 x16
Fe 0.1136 0.3864 0.4059 x16
Fe 0.1788 0.3212 0.0588 x16
Au 0.0000 0.0000 0.2500 x4

---

Record 5
Theoretical powder diffraction line list of Pm3Cu2Ir for Cu Ka, from DFT lattice parameters and positions (PBE).
Intensities are scaled so that the largest is 100.

Main lines, by angle (15 to 90 degrees two-theta):
(0 0 2), d 5.341, intensity 4
(1 0 0), d 3.563, intensity 3
(1 1 0), d 2.520, intensity 100
(2 0 0), d 1.782, intensity 17
(2 1 3), d 1.455, intensity 35
(2 2 0), d 1.260, intensity 11
(3 1 0), d 1.127, intensity 11
(1 0 9), d 1.126, intensity 5

Structure:
Cell: 3.5647 3.5647 10.6813 Å, 90.00 90.00 90.00°
Space group P4/mmm (No. 123)
Asymmetric unit:
Pm 0.0000 0.0000 0.0000 x1
Pm 0.0000 0.0000 0.3418 x2
Cu 0.5000 0.5000 0.1608 x2
Ir 0.5000 0.5000 0.5000 x1

---

Record 6
Theoretical powder diffraction line list of MgGa6Ag2 for Cu Ka, from DFT lattice parameters and positions (PBE).
Intensities are scaled so that the largest is 100.

Main lines, by angle (15 to 90 degrees two-theta):
(1 0 0), d 4.771, intensity 35
(1 1 -1), d 4.210, intensity 33
(1 2 1), d 2.564, intensity 75
(1 0 -4), d 2.500, intensity 100
(2 1 -1), d 2.429, intensity 63
(0 3 2), d 2.123, intensity 75
(1 3 -2), d 2.095, intensity 91
(2 2 -3), d 2.008, intensity 48

Structure:
Cell: 5.2313 7.1898 10.0274 Å, 90.00 114.21 90.00°
Space group P2_1/c (No. 14)
Asymmetric unit:
Mg 0.0000 0.0000 0.0000 x2
Ga 0.1431 0.0696 0.3073 x4
Ga 0.2365 0.6238 0.0686 x4
Ga 0.4694 0.2226 0.6151 x4
Ag 0.3722 0.0828 0.8513 x4

---

Record 7
Theoretical powder diffraction line list of PrSmPdPt for Cu Ka, from DFT lattice parameters and positions (PBE).
Intensities are scaled so that the largest is 100.

Main lines, by angle (15 to 90 degrees two-theta):
(1 1 1), d 2.868, intensity 100
(0 0 4), d 2.719, intensity 30
(1 0 4), d 2.338, intensity 22
(1 1 3), d 2.299, intensity 76
(2 0 0), d 2.290, intensity 32
(0 2 0), d 1.954, intensity 20
(2 0 4), d 1.752, intensity 17
(2 2 4), d 1.304, intensity 18

Structure:
Cell: 4.5804 3.9088 10.8760 Å, 90.00 90.00 90.00°
Space group Amm2 (No. 38)
Asymmetric unit:
Pr 0.0000 0.0000 0.0000 x2
Sm 0.5000 0.0000 0.7263 x2
Pd 0.5000 0.0000 0.4477 x2
Pt 0.0000 0.0000 0.2749 x2

---

What did the sixth record say?
Theoretical powder diffraction line list of MgGa6Ag2 for Cu Ka, from DFT lattice parameters and positions (PBE).
Intensities are scaled so that the largest is 100.

Main lines, by angle (15 to 90 degrees two-theta):
(1 0 0), d 4.771, intensity 35
(1 1 -1), d 4.210, intensity 33
(1 2 1), d 2.564, intensity 75
(1 0 -4), d 2.500, intensity 100
(2 1 -1), d 2.429, intensity 63
(0 3 2), d 2.123, intensity 75
(1 3 -2), d 2.095, intensity 91
(2 2 -3), d 2.008, intensity 48

Structure:
Cell: 5.2313 7.1898 10.0274 Å, 90.00 114.21 90.00°
Space group P2_1/c (No. 14)
Asymmetric unit:
Mg 0.0000 0.0000 0.0000 x2
Ga 0.1431 0.0696 0.3073 x4
Ga 0.2365 0.6238 0.0686 x4
Ga 0.4694 0.2226 0.6151 x4
Ag 0.3722 0.0828 0.8513 x4

---

Repeat the second record exactly.
Theoretical powder diffraction line list of LiGePCO7 for Cu Ka, from DFT lattice parameters and positions (PBE).
Intensities are scaled so that the largest is 100.

Main lines, by angle (15 to 90 degrees two-theta):
(0 1 1), d 5.156, intensity 100
(1 0 -1), d 4.597, intensity 47
(1 0 1), d 4.388, intensity 65
(1 1 0), d 3.949, intensity 29
(1 0 -2), d 3.543, intensity 46
(0 2 0), d 3.098, intensity 65
(2 0 0), d 2.565, intensity 24
(1 1 3), d 2.390, intensity 24

Structure:
Cell: 5.1330 6.1958 9.3154 Å, 90.00 93.16 90.00°
Space group P2_1 (No. 4)
Asymmetric unit:
Li 0.2441 0.0000 0.3517 x2
Ge 0.2150 0.6912 0.8506 x2
P 0.2699 0.1892 0.9369 x2
C 0.2768 0.7156 0.5970 x2
O 0.0467 0.6977 0.6558 x2
O 0.1161 0.1861 0.0749 x2
O 0.2018 0.3850 0.8397 x2
O 0.2078 0.9939 0.8397 x2
O 0.3112 0.7554 0.4696 x2
O 0.4331 0.6924 0.0168 x2
O 0.4682 0.6886 0.6994 x2